Diffraction record for MnP2H8O10. The powder XRD pattern is computed, not measured: it uses the PBE+U geometry in Alexandria and CuKα.
Neutral-atom scattering factors, no anomalous dispersion.

Top 10 peaks for 10 to 90 degrees two-theta, by angle:
| two_theta | d_spacing | Rel. int. | hkl |
| --- | --- | --- | --- |
| 14.93 | 5.936 | 48 | 0 1 1 |
| 18.55 | 4.784 | 45 | 1 1 -1 |
| 19.77 | 4.490 | 90 | 1 0 0 |
| 26.02 | 3.424 | 55 | 0 1 2 |
| 26.33 | 3.385 | 22 | 1 2 0 |
| 27.43 | 3.252 | 100 | 1 2 -2 |
| 28.75 | 3.105 | 45 | 0 3 1 |
| 29.94 | 2.985 | 36 | 1 1 1 |
| 37.02 | 2.428 | 25 | 0 4 1 |
| 40.17 | 2.245 | 18 | 2 0 0 |

Crystal structure
a b c (Å): 5.4149 10.3059 8.7560
angles (deg): 90.00 123.98 90.00
Space group P2_1/c (No. 14)
Inequivalent atoms, fractional coordinates:
Mn 0.0000 0.0000 0.0000 [2 per cell]
P 0.0911 0.2168 0.3371 [4 per cell]
H 0.1200 0.7256 0.0106 [4 per cell]
H 0.3862 0.0763 0.8233 [4 per cell]
H 0.3974 0.5484 0.2234 [4 per cell]
H 0.4315 0.1073 0.5925 [4 per cell]
O 0.0215 0.6710 0.3574 [4 per cell]
O 0.1377 0.1365 0.8640 [4 per cell]
O 0.1456 0.6736 0.1188 [4 per cell]
O 0.3900 0.1413 0.4718 [4 per cell]
O 0.4940 0.5344 0.7194 [4 per cell]